Structure and calculated X-ray powder pattern of LaHRh (a cell relaxed with PBE; Cu Ka).

Cell and atoms:
```
data_LaHRh
_space_group_name_H-M_alt 'C m c m'
_space_group_IT_number 63
_space_group_name_Hall '-C 2c 2'
_cell_length_a 3.7113
_cell_length_b 10.6594
_cell_length_c 5.0739
_cell_angle_alpha 90.00
_cell_angle_beta 90.00
_cell_angle_gamma 90.00
loop_
_atom_site_label
_atom_site_fract_x
_atom_site_fract_y
_atom_site_fract_z
La1 0.0000 0.1391 0.2500
H1 0.0000 0.1056 0.7500
Rh1 0.0000 0.4064 0.2500
```

Top 12 peaks for 2θ = 10–90°, most intense first:
2θ = 31.01°, rel. 100; 2θ = 39.34°, rel. 58; 2θ = 35.38°, rel. 39; 2θ = 33.63°, rel. 32; 2θ = 60.82°, rel. 26; 2θ = 49.61°, rel. 21; 2θ = 38.14°, rel. 16; 2θ = 49.10°, rel. 15; 2θ = 61.96°, rel. 15; 2θ = 34.96°, rel. 13; 2θ = 72.38°, rel. 13; 2θ = 66.17°, rel. 12